[1]
For Sr2DyCu3Pb2O8, a crystal structure in Alexandria, relaxed with GGA-PBE gives the theoretical powder diffraction line list in this record (CuKα).
No peak broadening, texture or thermal motion is included.

Structural model:
Cell: 3.835 3.835 15.988 Å, 90.00 90.00 90.00°
Fractional coordinates of all 16 atoms:
Sr (0.000, 0.000, 0.221)
Sr (0.000, 0.000, 0.779)
Dy (0.000, 0.000, 0.000)
Cu (0.000, 0.000, 0.500)
Cu (0.500, 0.500, 0.104)
Cu (0.500, 0.500, 0.896)
Pb (0.500, 0.500, 0.387)
Pb (0.500, 0.500, 0.613)
O (0.000, 0.000, 0.384)
O (0.000, 0.000, 0.616)
O (0.000, 0.500, 0.091)
O (0.000, 0.500, 0.909)
O (0.500, 0.000, 0.091)
O (0.500, 0.000, 0.909)
O (0.500, 0.500, 0.251)
O (0.500, 0.500, 0.749)

Top 6 peaks for 2θ = 5–70°, in order of rising 2θ:
- 2θ 23.86, d 3.729, intensity 29
- 2θ 32.35, d 2.767, intensity 100
- 2θ 33.03, d 2.712, intensity 67
- 2θ 43.77, d 2.068, intensity 21
- 2θ 47.41, d 1.917, intensity 31
- 2θ 58.57, d 1.576, intensity 38

[2]
For BaNa5H7, a crystal structure in Alexandria, relaxed with GGA-PBE gives the theoretical powder diffraction line list in this record (CuKα).
No peak broadening, texture or thermal motion is included.

Structural model:
Cell: 5.901 5.901 19.712 Å, 90.00 90.00 144.66°
Fractional coordinates of all 26 atoms:
Ba (0.193, 0.807, 0.750)
Ba (0.807, 0.193, 0.250)
Na (0.000, 0.000, 0.000)
Na (0.000, 0.000, 0.500)
Na (0.276, 0.724, 0.072)
Na (0.276, 0.724, 0.428)
Na (0.452, 0.548, 0.644)
Na (0.452, 0.548, 0.856)
Na (0.548, 0.452, 0.144)
Na (0.548, 0.452, 0.356)
Na (0.724, 0.276, 0.572)
Na (0.724, 0.276, 0.928)
H (0.091, 0.909, 0.614)
H (0.091, 0.909, 0.886)
H (0.192, 0.808, 0.174)
H (0.192, 0.808, 0.326)
H (0.365, 0.635, 0.534)
H (0.365, 0.635, 0.966)
H (0.476, 0.524, 0.250)
H (0.524, 0.476, 0.750)
H (0.635, 0.365, 0.034)
H (0.635, 0.365, 0.466)
H (0.808, 0.192, 0.674)
H (0.808, 0.192, 0.826)
H (0.909, 0.091, 0.114)
H (0.909, 0.091, 0.386)

Top 6 peaks for 2θ = 5–70°, in order of rising 2θ:
- 2θ 8.97, d 9.856, intensity 100
- 2θ 26.50, d 3.363, intensity 57
- 2θ 29.49, d 3.029, intensity 89
- 2θ 31.54, d 2.837, intensity 51
- 2θ 32.16, d 2.783, intensity 42
- 2θ 35.85, d 2.505, intensity 57

[3]
For SmScAl, a crystal structure in Alexandria, relaxed with GGA-PBE gives the theoretical powder diffraction line list in this record (CuKα).
No peak broadening, texture or thermal motion is included.

Structural model:
Cell: 7.822 7.822 4.408 Å, 90.00 90.00 120.00°
Fractional coordinates of all 9 atoms:
Sm (0.000, 0.407, 0.000)
Sm (0.407, 0.000, 0.000)
Sm (0.593, 0.593, 0.000)
Sc (0.000, 0.747, 0.500)
Sc (0.253, 0.253, 0.500)
Sc (0.747, 0.000, 0.500)
Al (0.000, 0.000, 0.000)
Al (0.333, 0.667, 0.500)
Al (0.667, 0.333, 0.500)

Top 6 peaks for 2θ = 5–70°, in order of rising 2θ:
- 2θ 22.74, d 3.911, intensity 38
- 2θ 30.56, d 2.926, intensity 100
- 2θ 33.36, d 2.686, intensity 57
- 2θ 35.05, d 2.561, intensity 34
- 2θ 48.45, d 1.879, intensity 21
- 2θ 52.98, d 1.728, intensity 34